# 1
For LiPr2CuPt6, a cell relaxed with PBE gives the theoretical powder diffractogram in this record (Cu Kα (λ = 1.5418 Å)).
Kinematic intensities with the Lorentz-polarization factor, no thermal factor.

Main lines, most intense first (2θ from 5° to 70°):
2theta, I_rel
39.51, 100.0
20.60, 63.3
28.48, 48.0
42.35, 47.7
39.40, 41.8
29.37, 30.2
29.52, 29.2
14.58, 29.2
41.48, 28.0
44.92, 27.9

```
LiPr2CuPt6
1.0
6.051 -2.698 0.000
6.051 2.698 0.000
-5.991 0.000 6.081
Li Pr Cu Pt
1 2 1 6
Cartesian
0.000 0.000 0.000 Li
4.340 0.000 1.322 Pr
1.771 0.000 4.760 Pr
-2.996 0.000 3.041 Cu
1.623 1.341 1.420 Pt
-0.412 0.000 2.594 Pt
1.623 -1.341 1.420 Pt
4.488 1.341 4.661 Pt
6.524 0.000 3.487 Pt
4.488 -1.341 4.661 Pt
```

***

# 2
For LiPrCuSi2, a cell relaxed with PBE gives the theoretical powder diffractogram in this record (Cu Kα (λ = 1.5418 Å)).
Kinematic intensities with the Lorentz-polarization factor, no thermal factor.

Main lines, most intense first (2θ from 5° to 70°):
2theta, I_rel
35.41, 100.0
23.23, 81.6
34.16, 78.6
43.83, 41.3
56.71, 35.9
49.87, 30.5
30.60, 23.4
68.53, 23.3
50.18, 21.2
17.40, 15.6

```
LiPrCuSi2
1.0
4.131 0.000 0.000
0.000 4.131 0.000
0.000 0.000 10.196
Li Pr Cu Si
2 2 2 4
Cartesian
0.000 0.000 0.000 Li
2.066 2.066 5.098 Li
0.000 2.066 2.549 Pr
2.066 0.000 7.647 Pr
0.000 0.000 5.098 Cu
2.066 2.066 0.000 Cu
0.000 2.066 6.452 Si
0.000 2.066 8.842 Si
2.066 0.000 1.354 Si
2.066 0.000 3.744 Si
```